This entry pairs a crystal structure of LiCa6Tl with its calculated X-ray diffraction stick pattern. Radiation: λ = 1.5418 Å (Cu Kα). Structure: a GGA-PBE-relaxed structure.
Neutral-atom scattering factors, no anomalous dispersion.

Atomic structure:
abc: 10.2095 10.2095 10.2095
angles: 148.76 148.76 44.77
Atoms (fractional coordinates):
Li  0.0000  0.0000  0.0000
Ca  0.1010  0.6010  0.5000
Ca  0.2494  0.2494  0.0000
Ca  0.3990  0.8990  0.5000
Ca  0.6010  0.1010  0.5000
Ca  0.7506  0.7506  0.0000
Ca  0.8990  0.3990  0.5000
Tl  0.5000  0.5000  0.0000

Largest 10 diffraction maxima, most intense first, 2θ = 5–70°:
- d 3.001, 2θ 29.77, I = 100.0
- d 5.279, 2θ 16.79, I = 77.9
- d 9.440, 2θ 9.37, I = 51.4
- d 4.141, 2θ 21.46, I = 45.2
- d 2.749, 2θ 32.57, I = 44.9
- d 1.632, 2θ 56.39, I = 30.8
- d 2.438, 2θ 36.86, I = 22.9
- d 3.113, 2θ 28.68, I = 21.7
- d 2.446, 2θ 36.74, I = 19.6
- d 2.290, 2θ 39.34, I = 19.5

This entry pairs a crystal structure of LaHo3Tm7 with its calculated X-ray diffraction stick pattern. Radiation: λ = 1.5418 Å (Cu Kα). Structure: a GGA-PBE-relaxed structure.
Neutral-atom scattering factors, no anomalous dispersion.

Atomic structure:
abc: 6.8762 5.4872 9.8044
angles: 90.00 108.71 90.00
Atoms (fractional coordinates):
La  0.0000  0.0000  0.0000
Ho  0.2749  0.5000  0.4925
Ho  0.5000  0.0000  0.0000
Ho  0.7251  0.5000  0.5075
Tm  0.0000  0.0000  0.5000
Tm  0.1503  0.5000  0.7891
Tm  0.3259  0.5000  0.1426
Tm  0.4333  0.0000  0.3324
Tm  0.5667  0.0000  0.6676
Tm  0.6741  0.5000  0.8574
Tm  0.8497  0.5000  0.2109

Largest 10 diffraction maxima, most intense first, 2θ = 5–70°:
- d 2.801, 2θ 31.95, I = 100.0
- d 2.696, 2θ 33.23, I = 73.7
- d 2.744, 2θ 32.64, I = 72.2
- d 2.758, 2θ 32.46, I = 59.6
- d 2.781, 2θ 32.19, I = 40.5
- d 2.835, 2θ 31.55, I = 26.5
- d 1.586, 2θ 58.17, I = 23.1
- d 2.721, 2θ 32.91, I = 22.4
- d 1.456, 2θ 63.93, I = 19.3
- d 2.500, 2θ 35.92, I = 18.6

This entry pairs a crystal structure of NaCa3 with its calculated X-ray diffraction stick pattern. Radiation: λ = 1.5418 Å (Cu Kα). Structure: a GGA-PBE-relaxed structure.
Neutral-atom scattering factors, no anomalous dispersion.

Atomic structure:
abc: 7.3777 7.3777 7.3777
angles: 149.10 62.73 126.88
Atoms (fractional coordinates):
Na  0.0000  0.0000  0.0000
Ca  0.1029  0.3621  0.7408
Ca  0.4874  0.9874  0.5000
Ca  0.6213  0.3621  0.2592

Largest 10 diffraction maxima, most intense first, 2θ = 5–70°:
- d 2.976, 2θ 30.02, I = 100.0
- d 3.150, 2θ 28.33, I = 33.9
- d 2.923, 2θ 30.59, I = 30.1
- d 1.783, 2θ 51.23, I = 19.7
- d 3.299, 2θ 27.03, I = 18.9
- d 1.639, 2θ 56.12, I = 15.0
- d 3.377, 2θ 26.39, I = 14.3
- d 1.919, 2θ 47.36, I = 13.4
- d 2.278, 2θ 39.56, I = 12.3
- d 1.631, 2θ 56.42, I = 9.1